[1]
Starting from the GGA-PBE geometry in Alexandria, the powder X-ray diffraction pattern of Zr4Ni3 was simulated for Cu Kα, 1.54184 Å.
Peak positions follow from Bragg's law for the DFT cell and can differ from measured ones.

Most intense lines, 2θ = 10–90°, in order of falling intensity:
two_theta	d/Å	Rel. int.	(hkl)
39.63	2.274	100	1 0 2
35.09	2.557	56	1 1 0
39.11	2.303	54	1 1 1
44.33	2.044	52	2 0 1
66.00	1.415	42	2 1 2
40.74	2.215	32	2 0 0
74.15	1.279	20	2 2 0
87.52	1.115	19	3 1 2
64.06	1.453	13	1 1 3
67.86	1.381	12	2 0 3

```
data_Zr4Ni3
_symmetry_space_group_name_H-M 'P 6/m m m'
_symmetry_Int_Tables_number 191
_symmetry_space_group_name_Hall '-P 6 2'
_cell_length_a 5.1149
_cell_length_b 5.1149
_cell_length_c 5.2996
_cell_angle_alpha 90.00
_cell_angle_beta 90.00
_cell_angle_gamma 120.00
loop_
_atom_site_label
_atom_site_type_symbol
_atom_site_fract_x
_atom_site_fract_y
_atom_site_fract_z
_atom_site_occupancy
Zr1 Zr 0.0000 0.0000 0.2466 1
Zr2 Zr 0.3333 0.6667 0.5000 1
Ni1 Ni 0.0000 0.5000 0.0000 1
```

---

[2]
Starting from the GGA-PBE geometry in Alexandria, the powder X-ray diffraction pattern of CeTc3Ge2 was simulated for Cu Kα, 1.54184 Å.
Peak positions follow from Bragg's law for the DFT cell and can differ from measured ones.

Most intense lines, 2θ = 10–90°, in order of falling intensity:
two_theta	d/Å	Rel. int.	(hkl)
35.87	2.503	100	3 1 1
37.87	2.376	84	5 1 -2
43.13	2.098	53	0 2 0
48.47	1.878	28	8 0 -1
13.34	6.638	24	0 0 1
43.88	2.063	21	1 1 -3
35.23	2.547	21	2 0 2
36.42	2.467	21	4 0 -3
66.87	1.399	21	8 2 -1
46.22	1.964	19	3 1 2

```
data_CeTc3Ge2
_symmetry_space_group_name_H-M 'C 1 2/m 1'
_symmetry_Int_Tables_number 12
_cell_length_a 15.4823
_cell_length_b 4.1953
_cell_length_c 7.5457
_cell_angle_alpha 90.00
_cell_angle_beta 118.39
_cell_angle_gamma 90.00
loop_
_symmetry_equiv_pos_as_xyz
'x,y,z'
'-x,-y,-z'
'-x,y,-z'
'x,-y,z'
'x+1/2,y+1/2,z'
'-x+1/2,-y+1/2,-z'
'-x+1/2,y+1/2,-z'
'x+1/2,-y+1/2,z'
loop_
_atom_site_label
_atom_site_type_symbol
_atom_site_fract_x
_atom_site_fract_y
_atom_site_fract_z
_atom_site_occupancy
Ce1 Ce 0.1413 0.0000 0.0573 1
Tc1 Tc 0.0467 0.0000 0.3995 1
Tc2 Tc 0.0882 0.5000 0.6519 1
Tc3 Tc 0.2046 0.5000 0.4817 1
Ge1 Ge 0.0240 0.5000 0.1873 1
Ge2 Ge 0.2025 0.0000 0.7341 1
```

---

[3]
Starting from the GGA-PBE geometry in Alexandria, the powder X-ray diffraction pattern of NiAgPt2 was simulated for Cu Kα, 1.54184 Å.
Peak positions follow from Bragg's law for the DFT cell and can differ from measured ones.

Most intense lines, 2θ = 10–90°, in order of falling intensity:
two_theta	d/Å	Rel. int.	(hkl)
39.74	2.268	100	2 2 0
46.47	1.954	32	2 0 1
81.58	1.180	25	4 2 1
67.22	1.393	21	2 4 1
45.70	1.985	17	0 4 0
22.39	3.970	14	0 2 0
80.46	1.194	13	2 6 0
32.39	2.764	11	2 0 0
85.65	1.134	11	4 4 0
67.82	1.382	10	4 0 0

```
data_NiAgPt2
_symmetry_space_group_name_H-M 'C m m m'
_symmetry_Int_Tables_number 65
_symmetry_space_group_name_Hall '-C 2 2'
_cell_length_a 5.5271
_cell_length_b 7.9404
_cell_length_c 2.7639
_cell_angle_alpha 90.00
_cell_angle_beta 90.00
_cell_angle_gamma 90.00
loop_
_atom_site_label
_atom_site_type_symbol
_atom_site_fract_x
_atom_site_fract_y
_atom_site_fract_z
_atom_site_occupancy
Ni1 Ni 0.0000 0.0000 0.0000 1
Ag1 Ag 0.0000 0.5000 0.0000 1
Pt1 Pt 0.2500 0.2500 0.5000 1
```

---

[4]
Starting from the GGA-PBE geometry in Alexandria, the powder X-ray diffraction pattern of Ac2PtRh2 was simulated for Cu Kα, 1.54184 Å.
Peak positions follow from Bragg's law for the DFT cell and can differ from measured ones.

Most intense lines, 2θ = 10–90°, in order of falling intensity:
two_theta	d/Å	Rel. int.	(hkl)
35.44	2.533	100	1 1 -3
33.19	2.699	82	0 2 1
31.21	2.866	71	3 1 -1
36.24	2.479	57	3 1 1
32.33	2.769	57	2 0 2
39.69	2.271	50	2 2 1
36.67	2.451	41	2 2 -1
34.29	2.615	37	3 1 -2
37.87	2.376	31	4 0 -2
30.32	2.948	30	1 1 2

```
data_Ac2PtRh2
_symmetry_space_group_name_H-M 'C 1 2/c 1'
_symmetry_Int_Tables_number 15
_cell_length_a 10.0208
_cell_length_b 5.7209
_cell_length_c 8.4738
_cell_angle_alpha 90.00
_cell_angle_beta 105.63
_cell_angle_gamma 90.00
loop_
_symmetry_equiv_pos_as_xyz
'x,y,z'
'-x,-y,-z'
'-x,y,-z+1/2'
'x,-y,z+1/2'
'x+1/2,y+1/2,z'
'-x+1/2,-y+1/2,-z'
'-x+1/2,y+1/2,-z+1/2'
'x+1/2,-y+1/2,z+1/2'
loop_
_atom_site_label
_atom_site_type_symbol
_atom_site_fract_x
_atom_site_fract_y
_atom_site_fract_z
_atom_site_occupancy
Ac1 Ac 0.1486 0.1433 0.1500 1
Pt1 Pt 0.0000 0.3218 0.7500 1
Rh1 Rh 0.1281 0.3681 0.5035 1
```